Calculated powder X-ray diffraction pattern of LaZr2VO8 for Cu Kα (weighted mean of Kα1 and Kα2), from a crystal structure in Alexandria, relaxed with PBE+U.
Lines closer than 0.1° are merged.

Largest 10 diffraction maxima, most intense first, 2θ = 10–90°:
| h k l | Position (°2θ) | Rel. int. |
| --- | --- | --- |
| 1 2 0 | 32.45 | 100 |
| 1 0 -1 | 25.15 | 70 |
| 1 0 1 | 26.00 | 64 |
| 2 2 -1 | 49.13 | 46 |
| 2 2 1 | 50.10 | 41 |
| 0 2 3 | 63.14 | 27 |
| 0 0 2 | 36.49 | 26 |
| 1 1 0 | 22.45 | 16 |
| 2 0 -2 | 51.62 | 12 |
| 1 4 1 | 61.94 | 11 |

Atomic structure:
Cell lengths 4.9244, 6.6629, 4.9312 Å; angles 90.00, 91.89, 90.00 degrees
Space group P2/m (No. 10)
One atom of each set of equivalent atoms:
1 La 0.0000 0.0000 0.0000
2 Zr 0.5000 0.2600 0.5000
3 V 0.0000 0.5000 0.0000
4 O 0.1928 0.2999 0.1913
5 O 0.2915 0.5000 0.7074
6 O 0.3239 0.0000 0.6728